Entry 1:
Diffraction record for PmSm5Sb5. The powder XRD pattern is theoretical, not measured: it uses DFT lattice parameters and positions (GGA-PBE) and Cu Kα, 1.54184 Å.
Kinematic intensities with the Lorentz-polarization factor, no thermal factor.

Most intense lines, 2θ = 15–90°, sorted by position:
- 2θ = 28.48°, I 100
- 2θ = 40.69°, I 64
- 2θ = 40.79°, I 13
- 2θ = 50.43°, I 27
- 2θ = 58.99°, I 8
- 2θ = 66.63°, I 12
- 2θ = 66.75°, I 17
- 2θ = 74.03°, I 13
- 2θ = 74.13°, I 9
- 2θ = 88.12°, I 7

Atomic structure:
Unit cell a=7.6680 b=7.6680 c=8.8649 alpha=106.76 beta=106.76 gamma=48.36
Element x y z (fractional)
Pm  0.0000  0.0000  0.0000
Sm  0.0000  0.0000  0.5000
Sm  0.3329  0.3329  0.6668
Sm  0.3338  0.3338  0.1666
Sm  0.6662  0.6662  0.8334
Sm  0.6671  0.6671  0.3332
Sb  0.1671  0.1671  0.3361
Sb  0.1685  0.1685  0.8317
Sb  0.5000  0.5000  0.0000
Sb  0.8315  0.8315  0.1683
Sb  0.8329  0.8329  0.6639

Entry 2:
Diffraction record for Ho3Mg8. The powder XRD pattern is theoretical, not measured: it uses DFT lattice parameters and positions (GGA-PBE) and Cu Kα, 1.54184 Å.
Kinematic intensities with the Lorentz-polarization factor, no thermal factor.

Most intense lines, 2θ = 15–90°, sorted by position:
- 2θ = 20.44°, I 100
- 2θ = 22.25°, I 32
- 2θ = 22.67°, I 27
- 2θ = 26.61°, I 33
- 2θ = 34.37°, I 97
- 2θ = 34.67°, I 97
- 2θ = 38.78°, I 19
- 2θ = 41.82°, I 33
- 2θ = 49.62°, I 34
- 2θ = 61.94°, I 35

Atomic structure:
Unit cell a=12.1394 b=12.1394 c=12.1394 alpha=24.62 beta=24.62 gamma=24.62
Element x y z (fractional)
Ho  0.0000  0.0000  0.0000
Ho  0.4522  0.4522  0.4522
Ho  0.5478  0.5478  0.5478
Mg  0.0882  0.0882  0.0882
Mg  0.1760  0.1760  0.1760
Mg  0.2725  0.2725  0.2725
Mg  0.3628  0.3628  0.3628
Mg  0.6372  0.6372  0.6372
Mg  0.7275  0.7275  0.7275
Mg  0.8240  0.8240  0.8240
Mg  0.9118  0.9118  0.9118

Entry 3:
Diffraction record for Nd8Ho2Er. The powder XRD pattern is theoretical, not measured: it uses DFT lattice parameters and positions (GGA-PBE) and Cu Kα, 1.54184 Å.
Kinematic intensities with the Lorentz-polarization factor, no thermal factor.

Most intense lines, 2θ = 15–90°, sorted by position:
- 2θ = 30.96°, I 100
- 2θ = 31.14°, I 85
- 2θ = 32.46°, I 44
- 2θ = 32.61°, I 45
- 2θ = 42.21°, I 15
- 2θ = 46.63°, I 16
- 2θ = 46.73°, I 16
- 2θ = 54.34°, I 15
- 2θ = 57.18°, I 26
- 2θ = 62.33°, I 27

Atomic structure:
Unit cell a=8.5646 b=8.5646 c=5.4912 alpha=90.10 beta=90.10 gamma=104.95
Element x y z (fractional)
Nd  0.1655  0.1655  0.9999
Nd  0.2008  0.4698  0.4993
Nd  0.2474  0.7526  0.0000
Nd  0.4698  0.2008  0.4993
Nd  0.5302  0.7992  0.5007
Nd  0.7526  0.2474  0.0000
Nd  0.7992  0.5302  0.5007
Nd  0.8345  0.8345  0.0001
Ho  0.1193  0.8807  0.5000
Ho  0.8807  0.1193  0.5000
Er  0.5000  0.5000  0.0000

Entry 4:
Diffraction record for PmPr4Ir. The powder XRD pattern is theoretical, not measured: it uses DFT lattice parameters and positions (GGA-PBE) and Cu Kα, 1.54184 Å.
Kinematic intensities with the Lorentz-polarization factor, no thermal factor.

Most intense lines, 2θ = 15–90°, sorted by position:
- 2θ = 29.39°, I 26
- 2θ = 30.59°, I 58
- 2θ = 31.45°, I 16
- 2θ = 31.70°, I 100
- 2θ = 39.13°, I 46
- 2θ = 46.67°, I 17
- 2θ = 52.89°, I 17
- 2θ = 53.60°, I 16
- 2θ = 58.70°, I 19
- 2θ = 58.77°, I 16

Atomic structure:
Unit cell a=9.6831 b=9.6831 c=6.0776 alpha=108.23 beta=108.23 gamma=47.40
Element x y z (fractional)
Pm  0.1981  0.1981  0.1981
Pm  0.8019  0.8019  0.8019
Pr  0.1330  0.6335  0.3833
Pr  0.2024  0.7976  0.0000
Pr  0.3315  0.3315  0.8313
Pr  0.3665  0.8670  0.6167
Pr  0.6335  0.1330  0.3833
Pr  0.6685  0.6685  0.1687
Pr  0.7976  0.2024  0.0000
Pr  0.8670  0.3665  0.6167
Ir  0.5000  0.5000  0.2712
Ir  0.5000  0.5000  0.7288

Entry 5:
Diffraction record for CsBaGa12. The powder XRD pattern is theoretical, not measured: it uses DFT lattice parameters and positions (GGA-PBE) and Cu Kα, 1.54184 Å.
Kinematic intensities with the Lorentz-polarization factor, no thermal factor.

Most intense lines, 2θ = 15–90°, sorted by position:
- 2θ = 20.78°, I 67
- 2θ = 25.52°, I 64
- 2θ = 29.55°, I 41
- 2θ = 33.13°, I 27
- 2θ = 44.98°, I 100
- 2θ = 47.55°, I 56
- 2θ = 63.43°, I 10
- 2θ = 65.49°, I 24
- 2θ = 71.50°, I 18
- 2θ = 81.10°, I 11

Atomic structure:
Unit cell a=6.0498 b=6.0498 c=12.0803 alpha=90.00 beta=90.00 gamma=90.00
Element x y z (fractional)
Cs  0.0000  0.0000  0.0000
Ba  0.0000  0.0000  0.5000
Ga  0.1960  0.5000  0.2529
Ga  0.1960  0.5000  0.7471
Ga  0.5000  0.1960  0.2529
Ga  0.5000  0.1960  0.7471
Ga  0.5000  0.5000  0.0996
Ga  0.5000  0.5000  0.4032
Ga  0.5000  0.5000  0.5968
Ga  0.5000  0.5000  0.9004
Ga  0.5000  0.8040  0.2529
Ga  0.5000  0.8040  0.7471
Ga  0.8040  0.5000  0.2529
Ga  0.8040  0.5000  0.7471

Entry 6:
Diffraction record for TbScAl6. The powder XRD pattern is theoretical, not measured: it uses DFT lattice parameters and positions (GGA-PBE) and Cu Kα, 1.54184 Å.
Kinematic intensities with the Lorentz-polarization factor, no thermal factor.

Most intense lines, 2θ = 15–90°, sorted by position:
- 2θ = 17.00°, I 49
- 2θ = 25.42°, I 71
- 2θ = 29.67°, I 25
- 2θ = 34.39°, I 31
- 2θ = 35.33°, I 17
- 2θ = 38.03°, I 24
- 2θ = 39.46°, I 100
- 2θ = 52.20°, I 19
- 2θ = 69.67°, I 18
- 2θ = 74.74°, I 18

Atomic structure:
Unit cell a=6.0217 b=6.0217 c=4.7323 alpha=90.00 beta=90.00 gamma=120.00
Element x y z (fractional)
Tb  0.0000  0.0000  0.0000
Sc  0.6667  0.3333  0.5000
Al  0.0200  0.5100  0.0000
Al  0.1823  0.3645  0.5000
Al  0.1823  0.8177  0.5000
Al  0.4900  0.5100  0.0000
Al  0.4900  0.9800  0.0000
Al  0.6355  0.8177  0.5000

Entry 7:
Diffraction record for ZnNi2Ru. The powder XRD pattern is theoretical, not measured: it uses DFT lattice parameters and positions (GGA-PBE) and Cu Kα, 1.54184 Å.
Kinematic intensities with the Lorentz-polarization factor, no thermal factor.

Most intense lines, 2θ = 15–90°, sorted by position:
- 2θ = 42.59°, I 100
- 2θ = 42.82°, I 98
- 2θ = 49.68°, I 63
- 2θ = 49.81°, I 31
- 2θ = 72.57°, I 9
- 2θ = 73.00°, I 37
- 2θ = 73.23°, I 9
- 2θ = 88.11°, I 23
- 2θ = 88.47°, I 11
- 2θ = 88.59°, I 33

Atomic structure:
Unit cell a=4.4935 b=4.4935 c=2.5852 alpha=90.00 beta=90.00 gamma=109.12
Element x y z (fractional)
Zn  0.0000  0.0000  0.0000
Ni  0.0000  0.5000  0.5000
Ni  0.5000  0.0000  0.5000
Ru  0.5000  0.5000  0.0000

Entry 8:
Diffraction record for NaNdBi3. The powder XRD pattern is theoretical, not measured: it uses DFT lattice parameters and positions (GGA-PBE) and Cu Kα, 1.54184 Å.
Kinematic intensities with the Lorentz-polarization factor, no thermal factor.

Most intense lines, 2θ = 15–90°, sorted by position:
- 2θ = 16.43°, I 45
- 2θ = 18.45°, I 28
- 2θ = 23.49°, I 35
- 2θ = 30.24°, I 100
- 2θ = 33.21°, I 49
- 2θ = 33.38°, I 50
- 2θ = 33.55°, I 45
- 2θ = 34.46°, I 38
- 2θ = 38.54°, I 30
- 2θ = 51.85°, I 21

Atomic structure:
Unit cell a=10.6118 b=6.1900 c=10.7916 alpha=90.00 beta=90.00 gamma=90.00
Element x y z (fractional)
Na  0.1201  0.2500  0.0000
Na  0.1201  0.2500  0.5000
Na  0.8799  0.7500  0.0000
Na  0.8799  0.7500  0.5000
Nd  0.3753  0.9996  0.2500
Nd  0.3753  0.5004  0.7500
Nd  0.6247  0.0004  0.7500
Nd  0.6247  0.4996  0.2500
Bi  0.0791  0.6340  0.7500
Bi  0.0791  0.8660  0.2500
Bi  0.2955  0.0032  0.7500
Bi  0.2955  0.4968  0.2500
Bi  0.4734  0.2500  0.0000
Bi  0.4734  0.2500  0.5000
Bi  0.5266  0.7500  0.0000
Bi  0.5266  0.7500  0.5000
Bi  0.7045  0.5032  0.7500
Bi  0.7045  0.9968  0.2500
Bi  0.9209  0.1340  0.7500
Bi  0.9209  0.3660  0.2500